1.
Diffraction record for Zr3C2N. The X-ray diffraction stick pattern is theoretical, not measured: it uses a DFT-relaxed cell (GGA-PBE, OQMD) and Cu Kα.

Top 7 peaks for 10° ≤ 2θ ≤ 90°, low angle first:
d [Å], 2theta, I (rel.)
2.703, 33.15, 100.0
2.340, 38.46, 81.5
1.655, 55.53, 52.5
1.412, 66.20, 20.6
1.411, 66.24, 20.5
1.351, 69.57, 17.1
1.170, 82.41, 7.9

Structure:
```
Zr3C2N
1.0
2.867 -4.966 0.000
2.867 4.966 0.000
-1.917 0.000 5.404
Zr C N
6 4 2
direct
0.000 0.500 0.500
0.165 0.333 0.001
0.333 0.165 0.501
0.500 0.000 0.000
0.667 0.835 0.499
0.835 0.667 0.999
0.084 0.916 0.750
0.250 0.750 0.250
0.750 0.250 0.750
0.916 0.084 0.250
0.415 0.585 0.750
0.585 0.415 0.250
```

=====

2.
Diffraction record for Nb3NiC2. The X-ray diffraction stick pattern is theoretical, not measured: it uses a DFT-relaxed cell (GGA-PBE, OQMD) and Cu Kα.

Top 10 peaks for 10° ≤ 2θ ≤ 90°, low angle first:
d [Å], 2theta, I (rel.)
2.719, 32.95, 34.2
2.497, 35.97, 7.0
2.341, 38.45, 100.0
2.230, 40.45, 18.0
2.178, 41.45, 36.3
1.608, 57.29, 15.1
1.588, 58.08, 30.7
1.314, 71.83, 14.7
1.308, 72.24, 8.5
1.294, 73.16, 18.0

Structure:
```
Nb3NiC2
1.0
3.176 0.000 0.000
-1.588 2.751 0.000
0.000 0.000 17.838
Nb Ni C
6 2 4
direct
0.000 0.000 0.000
0.000 0.000 0.500
0.333 0.667 0.140
0.333 0.667 0.360
0.667 0.333 0.640
0.667 0.333 0.860
0.000 0.000 0.250
0.000 0.000 0.750
0.333 0.667 0.576
0.333 0.667 0.924
0.667 0.333 0.076
0.667 0.333 0.424
```

=====

3.
Diffraction record for Nb3Ni3C. The X-ray diffraction stick pattern is theoretical, not measured: it uses a DFT-relaxed cell (GGA-PBE, OQMD) and Cu Kα.

Top 10 peaks for 10° ≤ 2θ ≤ 90°, low angle first:
d [Å], 2theta, I (rel.)
2.612, 34.34, 15.5
2.324, 38.75, 40.0
2.191, 41.21, 100.0
2.012, 45.05, 31.4
1.897, 47.95, 7.8
1.482, 62.69, 5.9
1.391, 67.33, 8.1
1.342, 70.15, 36.1
1.314, 71.82, 8.6
1.144, 84.72, 17.0

Structure:
```
Nb3Ni3C
1.0
0.000 5.692 5.692
5.692 0.000 5.692
5.692 5.692 0.000
Nb Ni C
12 12 4
direct
0.069 0.069 0.681
0.069 0.681 0.069
0.069 0.681 0.681
0.319 0.319 0.931
0.319 0.931 0.319
0.319 0.931 0.931
0.681 0.069 0.069
0.681 0.069 0.681
0.681 0.681 0.069
0.931 0.319 0.319
0.931 0.319 0.931
0.931 0.931 0.319
0.000 0.500 0.500
0.294 0.294 0.294
0.294 0.294 0.617
0.294 0.617 0.294
0.383 0.706 0.706
0.500 0.000 0.500
0.500 0.500 0.000
0.500 0.500 0.500
0.617 0.294 0.294
0.706 0.383 0.706
0.706 0.706 0.383
0.706 0.706 0.706
0.000 0.000 0.000
0.000 0.000 0.500
0.000 0.500 0.000
0.500 0.000 0.000
```

=====

4.
Diffraction record for Nb4NiC3. The X-ray diffraction stick pattern is theoretical, not measured: it uses a DFT-relaxed cell (GGA-PBE, OQMD) and Cu Kα.

Top 10 peaks for 10° ≤ 2θ ≤ 90°, low angle first:
d [Å], 2theta, I (rel.)
2.712, 33.03, 21.9
2.659, 33.71, 29.1
2.473, 36.32, 25.8
2.357, 38.18, 70.3
2.336, 38.54, 23.9
2.235, 40.35, 100.0
1.676, 54.76, 17.5
1.576, 58.55, 42.7
1.307, 72.31, 21.8
1.288, 73.53, 26.1

Structure:
```
Nb4NiC3
1.0
3.153 0.000 0.000
-1.576 2.731 0.000
0.000 0.000 23.357
Nb Ni C
8 2 6
direct
0.000 0.000 0.165
0.000 0.000 0.335
0.000 0.000 0.665
0.000 0.000 0.835
0.333 0.667 0.057
0.333 0.667 0.443
0.667 0.333 0.557
0.667 0.333 0.943
0.333 0.667 0.250
0.667 0.333 0.750
0.000 0.000 0.000
0.000 0.000 0.500
0.333 0.667 0.614
0.333 0.667 0.886
0.667 0.333 0.114
0.667 0.333 0.386
```

=====

5.
Diffraction record for NbSnCS. The X-ray diffraction stick pattern is theoretical, not measured: it uses a DFT-relaxed cell (GGA-PBE, OQMD) and Cu Kα.

Top 10 peaks for 10° ≤ 2θ ≤ 90°, low angle first:
d [Å], 2theta, I (rel.)
5.135, 17.27, 30.9
3.851, 23.09, 28.0
3.081, 28.98, 33.1
2.994, 29.85, 53.7
2.939, 30.42, 53.8
2.790, 32.08, 100.0
2.586, 34.69, 71.5
2.147, 42.08, 91.8
1.728, 52.98, 50.7
1.620, 56.85, 27.8

Structure:
```
NbSnCS
1.0
3.457 0.000 0.000
-1.728 2.994 0.000
0.000 0.000 15.406
Nb Sn C S
2 2 2 2
direct
0.000 0.000 0.000
0.333 0.667 0.500
0.667 0.333 0.301
0.667 0.333 0.699
0.667 0.333 0.450
0.667 0.333 0.550
0.667 0.333 0.099
0.667 0.333 0.901
```

=====

6.
Diffraction record for NbSnCS. The X-ray diffraction stick pattern is theoretical, not measured: it uses a DFT-relaxed cell (GGA-PBE, OQMD) and Cu Kα.

Top 10 peaks for 10° ≤ 2θ ≤ 90°, low angle first:
d [Å], 2theta, I (rel.)
3.958, 22.46, 59.4
2.871, 31.15, 42.1
2.825, 31.67, 39.9
2.699, 33.19, 100.0
2.639, 33.98, 25.2
2.522, 35.59, 28.9
2.324, 38.74, 48.3
1.943, 46.76, 50.2
1.658, 55.42, 38.9
1.529, 60.55, 25.2

Structure:
```
NbSnCS
1.0
3.316 0.000 0.000
-1.658 2.871 0.000
0.000 0.000 15.831
Nb Sn C S
2 2 2 2
direct
0.333 0.667 0.000
0.667 0.333 0.500
0.000 0.000 0.203
0.000 0.000 0.703
0.000 0.000 0.059
0.000 0.000 0.559
0.000 0.000 0.394
0.000 0.000 0.894
```

=====

7.
Diffraction record for TaNbCS2. The X-ray diffraction stick pattern is theoretical, not measured: it uses a DFT-relaxed cell (GGA-PBE, OQMD) and Cu Kα.

Top 10 peaks for 10° ≤ 2θ ≤ 90°, low angle first:
d [Å], 2theta, I (rel.)
2.846, 31.44, 31.0
2.728, 32.83, 39.4
2.446, 36.74, 100.0
2.124, 42.56, 46.2
1.832, 49.77, 14.3
1.643, 55.97, 23.3
1.619, 56.86, 14.4
1.589, 58.04, 18.6
1.364, 68.84, 15.6
1.355, 69.37, 12.0

Structure:
```
TaNbCS2
1.0
3.286 0.000 0.000
-1.643 2.846 0.000
0.000 0.000 9.578
Ta Nb C S
1 1 1 2
direct
0.000 0.000 0.000
0.333 0.667 0.249
0.667 0.333 0.121
0.000 0.000 0.421
0.333 0.667 0.830
```

=====

8.
Diffraction record for Ta4Nb2Sb3C3. The X-ray diffraction stick pattern is theoretical, not measured: it uses a DFT-relaxed cell (GGA-PBE, OQMD) and Cu Kα.

Top 10 peaks for 10° ≤ 2θ ≤ 90°, low angle first:
d [Å], 2theta, I (rel.)
2.924, 30.58, 25.1
2.423, 37.10, 100.0
2.165, 41.71, 15.3
1.740, 52.60, 13.2
1.688, 54.35, 23.0
1.386, 67.61, 11.4
1.384, 67.70, 5.7
1.333, 70.68, 3.2
1.331, 70.79, 16.0
1.294, 73.11, 13.6

Structure:
```
Ta4Nb2Sb3C3
1.0
5.069 -2.921 0.000
5.069 2.921 0.000
-3.365 0.000 12.991
Ta Nb Sb C
8 4 6 6
direct
0.023 0.199 0.083
0.144 0.305 0.417
0.199 0.023 0.583
0.305 0.144 0.917
0.695 0.856 0.083
0.801 0.977 0.417
0.856 0.695 0.583
0.977 0.801 0.917
0.367 0.529 0.086
0.471 0.633 0.414
0.529 0.367 0.586
0.633 0.471 0.914
0.081 0.919 0.250
0.249 0.416 0.749
0.416 0.249 0.249
0.584 0.751 0.751
0.751 0.584 0.251
0.919 0.081 0.750
0.000 0.500 0.000
0.158 0.670 0.500
0.330 0.842 0.000
0.500 0.000 0.500
0.670 0.158 0.000
0.842 0.330 0.500
```